Simulated powder diffraction line list
Compound: NiBiO
Radiation: a wavelength of 1.5418 Å
Structure: a cell relaxed with PBE+U
Lines closer than 0.1° are merged.

Main lines, by angle (2θ = 15–90°):
| d (Å) | I/Imax | (hkl) |
| --- | --- | --- |
| 5.030 | 68 | 1 0 0 |
| 3.023 | 41 | 1 0 -2 |
| 2.970 | 78 | 0 0 2 |
| 2.821 | 100 | 1 2 0 |
| 2.750 | 43 | 1 2 -1 |
| 2.515 | 45 | 2 0 0 |
| 2.385 | 30 | 1 2 1 |
| 2.260 | 53 | 1 2 -2 |
| 1.881 | 27 | 1 2 2 |
| 1.638 | 29 | 0 4 1 |

Cell and atoms:
```
data_NiBiO
_cell_length_a 5.3179
_cell_length_b 6.8157
_cell_length_c 6.2794
_cell_angle_alpha 90.00
_cell_angle_beta 108.95
_cell_angle_gamma 90.00
_space_group_name_H-M_alt 'P 1 21 1'
_space_group_IT_number 4
_space_group_name_Hall 'P 2yb'
loop_
_atom_site_label
_atom_site_type_symbol
_atom_site_fract_x
_atom_site_fract_y
_atom_site_fract_z
Ni1 Ni 0.0200 0.0000 0.0671
Ni2 Ni 0.0682 0.3796 0.4310
Bi1 Bi 0.4604 0.2471 0.0073
Bi2 Bi 0.4625 0.6536 0.4755
O1 O 0.0819 0.7762 0.8920
O2 O 0.1678 0.9244 0.3915
```